Diffraction record for GdHoZn. The powder XRD pattern is calculated, not measured: it uses a DFT-relaxed cell (PBE, Alexandria) and CuKα.
Kinematic intensities with the Lorentz-polarization factor, no thermal factor.

a = 6.610 Å, b = 6.610 Å, c = 6.610 Å
α = 148.57°, β = 148.57°, γ = 45.05°
Positions (direct):
Gd  0.000  0.000  0.000
Ho  0.291  0.291  0.000
Zn  0.652  0.652  0.000

The 8 most intense peaks (5 to 70 degrees two-theta), low angle first:
25.9°, rel. 21.3; 29.3°, rel. 11.1; 33.3°, rel. 100.0; 35.5°, rel. 48.4; 46.6°, rel. 12.6; 51.0°, rel. 17.1; 58.1°, rel. 17.7; 62.3°, rel. 32.6